Li3V2O4F2: simulated XRD peak list (Cu Kα (weighted mean of Kα1 and Kα2)), based on a structure optimized by DFT (GGA+U).
Neutral-atom scattering factors, no anomalous dispersion.

Most intense lines, 2θ from 5° to 70°, in order of falling intensity:
2theta  I_rel  (hkl)
5.92  1000  0 0 1
17.82  590  0 0 3
11.85  196  0 0 2
41.99  193  2 0 -4
42.19  192  1 -2 4
43.12  177  1 2 4
34.96  131  1 -2 1
62.32  101  0 4 0
23.83  94  0 0 4
61.25  93  3 -2 0

Structural model:
a = 5.216 Å, b = 5.959 Å, c = 14.939 Å
α = 90.75°, β = 90.77°, γ = 90.97°
Space group P1 (No. 1)
Inequivalent atoms, fractional coordinates:
Li1 0.000 0.000 0.000 (multiplicity 1)
Li2 0.001 0.511 0.000 (multiplicity 1)
Li3 0.159 0.250 0.358 (multiplicity 1)
Li4 0.223 0.763 0.375 (multiplicity 1)
Li5 0.354 0.005 0.623 (multiplicity 1)
Li6 0.363 0.503 0.629 (multiplicity 1)
Li7 0.506 0.255 0.999 (multiplicity 1)
Li8 0.529 0.231 0.495 (multiplicity 1)
Li9 0.685 0.529 0.376 (multiplicity 1)
Li10 0.819 0.759 0.634 (multiplicity 1)
Li11 0.973 0.012 0.495 (multiplicity 1)
Li12 0.994 0.495 0.512 (multiplicity 1)
V1 0.175 0.254 0.829 (multiplicity 1)
V2 0.185 0.754 0.839 (multiplicity 1)
V3 0.346 0.002 0.164 (multiplicity 1)
V4 0.347 0.506 0.161 (multiplicity 1)
V5 0.671 0.000 0.836 (multiplicity 1)
V6 0.681 0.503 0.836 (multiplicity 1)
V7 0.843 0.256 0.168 (multiplicity 1)
V8 0.846 0.756 0.170 (multiplicity 1)
O1 0.012 0.012 0.772 (multiplicity 1)
O2 0.014 0.505 0.771 (multiplicity 1)
O3 0.019 0.484 0.233 (multiplicity 1)
O4 0.020 0.011 0.233 (multiplicity 1)
O5 0.170 0.734 0.093 (multiplicity 1)
O6 0.175 0.252 0.089 (multiplicity 1)
O7 0.335 0.485 0.907 (multiplicity 1)
O8 0.350 0.017 0.907 (multiplicity 1)
O9 0.504 0.247 0.769 (multiplicity 1)
O10 0.508 0.276 0.229 (multiplicity 1)
O11 0.508 0.751 0.230 (multiplicity 1)
O12 0.528 0.771 0.767 (multiplicity 1)
O13 0.679 0.497 0.094 (multiplicity 1)
O14 0.691 0.024 0.094 (multiplicity 1)
O15 0.842 0.242 0.909 (multiplicity 1)
O16 0.850 0.757 0.909 (multiplicity 1)
F1 0.159 0.748 0.598 (multiplicity 1)
F2 0.206 0.259 0.574 (multiplicity 1)
F3 0.316 0.029 0.422 (multiplicity 1)
F4 0.352 0.490 0.405 (multiplicity 1)
F5 0.683 0.007 0.580 (multiplicity 1)
F6 0.683 0.502 0.583 (multiplicity 1)
F7 0.848 0.274 0.423 (multiplicity 1)
F8 0.901 0.740 0.423 (multiplicity 1)